(1)
Structure and computed X-ray diffraction stick pattern of Na5Dy4Si4O16F (a cell relaxed with GGA-PBE; Cu Kα X-rays).
Peak positions follow from Bragg's law for the DFT cell and can differ from measured ones.

Crystal structure
Unit cell a=8.5855 b=8.5855 c=8.5855 alpha=95.65 beta=95.65 gamma=143.43
Element x y z (fractional)
Na  0.0000  0.0000  0.0000
Na  0.1111  0.4178  0.5151
Na  0.4040  0.8889  0.3066
Na  0.5822  0.0974  0.6934
Na  0.9026  0.5960  0.4849
Dy  0.3413  0.6388  0.9335
Dy  0.3612  0.2947  0.7025
Dy  0.5923  0.6587  0.2975
Dy  0.7053  0.4077  0.0665
Si  0.0932  0.7422  0.8561
Si  0.2578  0.1139  0.3510
Si  0.7629  0.9068  0.6490
Si  0.8861  0.2371  0.1439
O  0.0521  0.2252  0.7613
O  0.1234  0.6253  0.7201
O  0.1720  0.7323  0.0345
O  0.1872  0.4213  0.1382
O  0.2677  0.3022  0.4398
O  0.2831  0.0490  0.8618
O  0.3747  0.0947  0.4980
O  0.4638  0.2907  0.2387
O  0.5787  0.7169  0.7659
O  0.5967  0.8766  0.5020
O  0.6978  0.1375  0.9655
O  0.7093  0.9479  0.1731
O  0.7748  0.5362  0.8269
O  0.8625  0.8280  0.5602
O  0.9053  0.4033  0.2799
O  0.9510  0.8128  0.2341
F  0.5000  0.5000  0.0000

Principal peaks in the range 2θ from 15° to 90°, in order of falling intensity:
d_spacing, I (rel.)
4.880, 100.0
2.750, 69.8
3.128, 64.4
2.482, 58.8
3.646, 50.6
3.725, 46.5
2.693, 44.8
1.862, 42.4
2.120, 39.0
1.788, 36.2
2.578, 32.6
2.166, 27.5

***

(2)
Structure and computed X-ray diffraction stick pattern of Sn2PdS (a cell relaxed with GGA-PBE; Cu Kα X-rays).
Peak positions follow from Bragg's law for the DFT cell and can differ from measured ones.

Crystal structure
Unit cell a=3.9636 b=3.9790 c=11.1781 alpha=90.00 beta=90.00 gamma=90.00
Element x y z (fractional)
Sn  0.0000  0.0118  0.0000
Sn  0.0000  0.9882  0.5000
Sn  0.5000  0.4869  0.2472
Sn  0.5000  0.5131  0.7472
Pd  0.5000  0.4919  0.4974
Pd  0.5000  0.5081  0.9974
S  0.0000  0.0018  0.7457
S  0.0000  0.9982  0.2457

Principal peaks in the range 2θ from 15° to 90°, in order of falling intensity:
d_spacing, I (rel.)
2.808, 100.0
1.981, 91.3
2.795, 49.5
1.254, 25.1
1.144, 19.5
1.617, 19.2
1.621, 19.0
3.237, 19.0
1.989, 18.2
1.251, 17.0
1.147, 12.7
1.404, 11.9

***

(3)
Structure and computed X-ray diffraction stick pattern of TlCuOsW (a cell relaxed with GGA-PBE; Cu Kα X-rays).
Peak positions follow from Bragg's law for the DFT cell and can differ from measured ones.

Crystal structure
Unit cell a=6.3680 b=6.3680 c=6.3680 alpha=90.00 beta=90.00 gamma=90.00
Element x y z (fractional)
Tl  0.0000  0.0000  0.0000
Tl  0.0000  0.5000  0.5000
Tl  0.5000  0.0000  0.5000
Tl  0.5000  0.5000  0.0000
Cu  0.2500  0.2500  0.2500
Cu  0.2500  0.7500  0.7500
Cu  0.7500  0.2500  0.7500
Cu  0.7500  0.7500  0.2500
Os  0.2500  0.2500  0.7500
Os  0.2500  0.7500  0.2500
Os  0.7500  0.2500  0.2500
Os  0.7500  0.7500  0.7500
W  0.0000  0.0000  0.5000
W  0.0000  0.5000  0.0000
W  0.5000  0.0000  0.0000
W  0.5000  0.5000  0.5000

Principal peaks in the range 2θ from 15° to 90°, in order of falling intensity:
d_spacing, I (rel.)
2.251, 100.0
1.300, 34.7
1.592, 17.1
1.126, 11.3
3.677, 8.4
3.184, 4.9
1.920, 4.4
1.424, 2.0
1.461, 1.9
1.226, 1.5
1.838, 1.5

***

(4)
Structure and computed X-ray diffraction stick pattern of SrCdNiSe3 (a cell relaxed with GGA-PBE; Cu Kα X-rays).
Peak positions follow from Bragg's law for the DFT cell and can differ from measured ones.

Crystal structure
Unit cell a=6.8610 b=6.8610 c=10.6580 alpha=90.00 beta=90.00 gamma=145.40
Element x y z (fractional)
Sr  0.2480  0.7520  0.7500
Sr  0.7520  0.2480  0.2500
Cd  0.0000  0.0000  0.0000
Cd  0.0000  0.0000  0.5000
Ni  0.4700  0.5300  0.2500
Ni  0.5300  0.4700  0.7500
Se  0.0669  0.9331  0.2500
Se  0.3589  0.6411  0.0683
Se  0.3589  0.6411  0.4317
Se  0.6411  0.3589  0.5683
Se  0.6411  0.3589  0.9317
Se  0.9331  0.0669  0.7500

Principal peaks in the range 2θ from 15° to 90°, in order of falling intensity:
d_spacing, I (rel.)
2.871, 100.0
2.602, 83.8
2.039, 77.4
2.982, 51.5
3.124, 44.7
2.665, 40.7
2.625, 38.7
2.020, 30.3
1.734, 30.0
2.067, 25.1
1.620, 23.7
1.436, 19.9

***

(5)
Structure and computed X-ray diffraction stick pattern of TbLuGe2Au2 (a cell relaxed with GGA-PBE; Cu Kα X-rays).
Peak positions follow from Bragg's law for the DFT cell and can differ from measured ones.

Crystal structure
Unit cell a=4.4650 b=4.4650 c=7.2516 alpha=90.00 beta=90.00 gamma=120.00
Element x y z (fractional)
Tb  0.0000  0.0000  0.0000
Lu  0.0000  0.0000  0.4990
Ge  0.3333  0.6667  0.2097
Ge  0.6667  0.3333  0.7035
Au  0.3333  0.6667  0.7825
Au  0.6667  0.3333  0.3037

Principal peaks in the range 2θ from 15° to 90°, in order of falling intensity:
d_spacing, I (rel.)
2.645, 100.0
2.232, 74.1
3.412, 34.2
1.706, 27.2
1.356, 25.4
2.050, 20.7
1.407, 16.8
1.289, 12.9
1.251, 8.5
1.116, 8.5
1.358, 8.1
1.510, 7.8

***

(6)
Structure and computed X-ray diffraction stick pattern of Ag7Sn (a cell relaxed with GGA-PBE; Cu Kα X-rays).
Peak positions follow from Bragg's law for the DFT cell and can differ from measured ones.

Crystal structure
Unit cell a=2.9565 b=4.0166 c=32.5228 alpha=90.00 beta=90.00 gamma=90.00
Element x y z (fractional)
Ag  0.2500  0.2500  0.0227
Ag  0.2500  0.2500  0.1140
Ag  0.2500  0.2500  0.2054
Ag  0.2500  0.2500  0.2982
Ag  0.2500  0.2500  0.7481
Ag  0.2500  0.2500  0.8399
Ag  0.2500  0.2500  0.9314
Ag  0.7500  0.7500  0.0686
Ag  0.7500  0.7500  0.1601
Ag  0.7500  0.7500  0.2519
Ag  0.7500  0.7500  0.7018
Ag  0.7500  0.7500  0.7946
Ag  0.7500  0.7500  0.8860
Ag  0.7500  0.7500  0.9773
Sn  0.2500  0.2500  0.6511
Sn  0.7500  0.7500  0.3489

Principal peaks in the range 2θ from 15° to 90°, in order of falling intensity:
d_spacing, I (rel.)
2.381, 100.0
2.091, 32.9
1.256, 22.6
1.448, 19.2
2.008, 15.4
1.220, 12.2
2.528, 11.7
1.478, 10.9
1.190, 10.8
2.375, 9.9
2.188, 7.6
2.687, 5.5

***

(7)
Structure and computed X-ray diffraction stick pattern of PrSmBi2Se2 (a cell relaxed with GGA-PBE; Cu Kα X-rays).
Peak positions follow from Bragg's law for the DFT cell and can differ from measured ones.

Crystal structure
Unit cell a=4.3306 b=4.3306 c=9.1890 alpha=90.00 beta=90.00 gamma=90.00
Element x y z (fractional)
Pr  0.0000  0.0000  0.0000
Sm  0.5000  0.5000  0.3913
Bi  0.0000  0.5000  0.6930
Bi  0.5000  0.0000  0.6930
Se  0.0000  0.0000  0.3264
Se  0.5000  0.5000  0.0710

Principal peaks in the range 2θ from 15° to 90°, in order of falling intensity:
d_spacing, I (rel.)
2.905, 100.0
2.548, 75.6
3.063, 45.5
2.165, 43.0
1.768, 37.5
1.312, 21.1
1.354, 20.1
1.576, 20.0
1.838, 19.2
1.370, 18.3
1.531, 17.5
3.917, 14.1

***

(8)
Structure and computed X-ray diffraction stick pattern of Li3PbAu2 (a cell relaxed with GGA-PBE; Cu Kα X-rays).
Peak positions follow from Bragg's law for the DFT cell and can differ from measured ones.

Crystal structure
Unit cell a=6.4685 b=5.1857 c=5.5044 alpha=74.40 beta=50.55 gamma=55.05
Element x y z (fractional)
Li  0.0000  0.0000  0.0000
Li  0.5330  0.8539  0.1461
Li  0.8539  0.5330  0.4670
Pb  0.3258  0.3258  0.6742
Au  0.4500  0.4500  0.0500
Au  0.9500  0.9500  0.5500

Principal peaks in the range 2θ from 15° to 90°, in order of falling intensity:
d_spacing, I (rel.)
4.384, 100.0
3.223, 93.2
2.394, 81.1
4.202, 73.4
2.101, 63.5
1.991, 47.8
2.342, 42.2
2.378, 39.5
2.090, 31.5
1.393, 30.8
1.719, 28.9
1.669, 28.4